1.
Diffraction record for Na3HoF6. The powder diffractogram is theoretical, not measured: it uses a PBE-relaxed structure and Cu Kα (weighted mean of Kα1 and Kα2).
No peak broadening, texture or thermal motion is included.

Structure:
```
data_Na3HoF6
_chemical_formula_sum 'Na6 Ho2 F12'
_symmetry_space_group_name_H-M 'I 4/m'
_symmetry_Int_Tables_number 87
_symmetry_space_group_name_Hall '-I 4'
_cell_length_a 5.766
_cell_length_b 5.766
_cell_length_c 8.352
_cell_angle_alpha 90.00
_cell_angle_beta 90.00
_cell_angle_gamma 90.00
loop_
_atom_site_label
_atom_site_type_symbol
_atom_site_fract_x
_atom_site_fract_y
_atom_site_fract_z
Na1 Na 0.000 0.000 0.000
Na2 Na 0.000 0.500 0.250
Ho1 Ho 0.000 0.000 0.500
F1 F 0.000 0.000 0.248
F2 F 0.155 0.337 0.500
```

Most intense lines, 10 to 90 degrees two-theta, sorted by position:
2θ = 18.7°, I 100, hkl 1 0 1; 2θ = 21.3°, I 31, hkl 0 0 2; 2θ = 21.8°, I 44, hkl 1 1 0; 2θ = 30.6°, I 46, hkl 1 1 2; 2θ = 31.0°, I 45, hkl 2 0 0; 2θ = 35.8°, I 21, hkl 1 0 3; 2θ = 36.5°, I 43, hkl 1 2 1; 2θ = 44.4°, I 23, hkl 2 2 0; 2θ = 48.1°, I 20, hkl 1 2 3; 2θ = 54.9°, I 33, hkl 1 3 2

---

2.
Diffraction record for RbTmZrTe3. The powder diffractogram is theoretical, not measured: it uses a PBE-relaxed structure and Cu Kα (weighted mean of Kα1 and Kα2).
No peak broadening, texture or thermal motion is included.

Structure:
```
data_RbTmZrTe3
_chemical_formula_sum 'Rb4 Tm4 Zr4 Te12'
_symmetry_space_group_name_H-M 'C m c m'
_symmetry_Int_Tables_number 63
_symmetry_space_group_name_Hall '-C 2c 2'
_cell_length_a 4.446
_cell_length_b 16.868
_cell_length_c 11.487
_cell_angle_alpha 90.00
_cell_angle_beta 90.00
_cell_angle_gamma 90.00
loop_
_atom_site_label
_atom_site_type_symbol
_atom_site_fract_x
_atom_site_fract_y
_atom_site_fract_z
Rb1 Rb 0.000 0.249 0.250
Tm1 Tm 0.000 0.500 0.000
Zr1 Zr 0.000 0.033 0.750
Te1 Te 0.000 0.124 0.546
Te2 Te 0.000 0.428 0.750
```

Most intense lines, 10 to 90 degrees two-theta, sorted by position:
2θ = 10.5°, I 100, hkl 0 2 0; 2θ = 25.5°, I 65, hkl 1 3 0; 2θ = 26.7°, I 78, hkl 1 3 1; 2θ = 30.0°, I 77, hkl 1 3 2; 2θ = 31.1°, I 44, hkl 0 0 4; 2θ = 35.6°, I 21, hkl 0 6 2; 2θ = 36.9°, I 67, hkl 1 5 2; 2θ = 40.6°, I 33, hkl 2 0 0; 2θ = 47.4°, I 31, hkl 1 3 5; 2θ = 52.0°, I 20, hkl 2 0 4

---

3.
Diffraction record for Fe2CuPd. The powder diffractogram is theoretical, not measured: it uses a PBE-relaxed structure and Cu Kα (weighted mean of Kα1 and Kα2).
No peak broadening, texture or thermal motion is included.

Structure:
```
data_Fe2CuPd
_chemical_formula_sum 'Fe8 Cu4 Pd4'
_symmetry_space_group_name_H-M 'F -4 3 m'
_symmetry_Int_Tables_number 216
_symmetry_space_group_name_Hall 'F -4 2 3'
_cell_length_a 5.895
_cell_length_b 5.895
_cell_length_c 5.895
_cell_angle_alpha 90.00
_cell_angle_beta 90.00
_cell_angle_gamma 90.00
loop_
_atom_site_label
_atom_site_type_symbol
_atom_site_fract_x
_atom_site_fract_y
_atom_site_fract_z
Fe1 Fe 0.000 0.000 0.000
Fe2 Fe 0.250 0.250 0.250
Cu1 Cu 0.250 0.250 0.750
Pd1 Pd 0.000 0.000 0.500
```

Most intense lines, 10 to 90 degrees two-theta, sorted by position:
2θ = 26.2°, I 8, hkl 1 1 1; 2θ = 30.3°, I 2, hkl 2 0 0; 2θ = 43.4°, I 100, hkl 2 2 0; 2θ = 51.4°, I 4, hkl 3 1 1; 2θ = 53.9°, I 1, hkl 2 2 2; 2θ = 63.1°, I 15, hkl 4 0 0; 2θ = 69.5°, I 2, hkl 3 3 1; 2θ = 71.6°, I 1, hkl 4 2 0; 2θ = 79.7°, I 30, hkl 4 2 2; 2θ = 85.6°, I 1, hkl 5 1 1

---

4.
Diffraction record for Hf5FeTe3. The powder diffractogram is theoretical, not measured: it uses a PBE-relaxed structure and Cu Kα (weighted mean of Kα1 and Kα2).
No peak broadening, texture or thermal motion is included.

Structure:
```
data_Hf5FeTe3
_chemical_formula_sum 'Hf20 Fe4 Te12'
_symmetry_space_group_name_H-M 'P n m a'
_symmetry_Int_Tables_number 62
_cell_length_a 18.023
_cell_length_b 3.671
_cell_length_c 13.315
_cell_angle_alpha 90.00
_cell_angle_beta 90.00
_cell_angle_gamma 90.00
loop_
_symmetry_equiv_pos_as_xyz
'x,y,z'
'-x,-y,-z'
'-x+1/2,-y,z+1/2'
'x+1/2,y,-z+1/2'
'x+1/2,-y+1/2,-z+1/2'
'-x+1/2,y+1/2,z+1/2'
'-x,y+1/2,-z'
'x,-y+1/2,z'
loop_
_atom_site_label
_atom_site_type_symbol
_atom_site_fract_x
_atom_site_fract_y
_atom_site_fract_z
Hf1 Hf 0.043 0.250 0.071
Hf2 Hf 0.089 0.250 0.850
Hf3 Hf 0.122 0.750 0.226
Hf4 Hf 0.210 0.250 0.060
Hf5 Hf 0.244 0.750 0.859
Fe1 Fe 0.130 0.750 0.977
Te1 Te 0.001 0.750 0.712
Te2 Te 0.148 0.750 0.445
Te3 Te 0.206 0.250 0.694
```

Most intense lines, 10 to 90 degrees two-theta, sorted by position:
2θ = 31.6°, I 35, hkl 0 1 3; 2θ = 32.0°, I 62, hkl 5 0 3; 2θ = 32.2°, I 100, hkl 4 1 1; 2θ = 35.1°, I 73, hkl 2 0 5; 2θ = 36.1°, I 29, hkl 6 0 3; 2θ = 36.8°, I 91, hkl 1 1 4; 2θ = 37.5°, I 52, hkl 7 0 2; 2θ = 38.7°, I 48, hkl 6 1 0; 2θ = 42.2°, I 26, hkl 5 0 5; 2θ = 49.7°, I 41, hkl 0 2 0

---

5.
Diffraction record for Nb2Si2SbAs. The powder diffractogram is theoretical, not measured: it uses a PBE-relaxed structure and Cu Kα (weighted mean of Kα1 and Kα2).
No peak broadening, texture or thermal motion is included.

Structure:
```
data_Nb2Si2SbAs
_chemical_formula_sum 'Nb2 Si2 Sb1 As1'
_symmetry_space_group_name_H-M 'P 4 m m'
_symmetry_Int_Tables_number 99
_cell_length_a 3.968
_cell_length_b 3.968
_cell_length_c 8.301
_cell_angle_alpha 90.00
_cell_angle_beta 90.00
_cell_angle_gamma 90.00
loop_
_symmetry_equiv_pos_as_xyz
'x,y,z'
'-y,x,z'
'-x,-y,z'
'y,-x,z'
'-x,y,z'
'y,x,z'
'x,-y,z'
'-y,-x,z'
loop_
_atom_site_label
_atom_site_type_symbol
_atom_site_fract_x
_atom_site_fract_y
_atom_site_fract_z
Nb1 Nb 0.000 0.500 0.000
Si1 Si 0.000 0.000 0.237
Si2 Si 0.500 0.500 0.754
Sb1 Sb 0.500 0.500 0.290
As1 As 0.000 0.000 0.747
```

Most intense lines, 10 to 90 degrees two-theta, sorted by position:
2θ = 10.7°, I 88, hkl 0 0 1; 2θ = 24.9°, I 33, hkl 1 0 1; 2θ = 32.4°, I 16, hkl 0 0 3; 2θ = 33.7°, I 39, hkl 1 1 1; 2θ = 38.7°, I 100, hkl 1 1 2; 2θ = 43.6°, I 15, hkl 0 0 4; 2θ = 45.7°, I 33, hkl 2 0 0; 2θ = 65.0°, I 18, hkl 2 0 4; 2θ = 76.8°, I 15, hkl 1 1 6; 2θ = 79.9°, I 23, hkl 3 1 2

---

6.
Diffraction record for NdAlInIr. The powder diffractogram is theoretical, not measured: it uses a PBE-relaxed structure and Cu Kα (weighted mean of Kα1 and Kα2).
No peak broadening, texture or thermal motion is included.

Structure:
```
data_NdAlInIr
_chemical_formula_sum 'Nd4 Al4 In4 Ir4'
_symmetry_space_group_name_H-M 'C 1 2/m 1'
_symmetry_Int_Tables_number 12
_cell_length_a 10.314
_cell_length_b 3.258
_cell_length_c 11.408
_cell_angle_alpha 90.00
_cell_angle_beta 97.96
_cell_angle_gamma 90.00
loop_
_symmetry_equiv_pos_as_xyz
'x,y,z'
'-x,-y,-z'
'-x,y,-z'
'x,-y,z'
'x+1/2,y+1/2,z'
'-x+1/2,-y+1/2,-z'
'-x+1/2,y+1/2,-z'
'x+1/2,-y+1/2,z'
loop_
_atom_site_label
_atom_site_type_symbol
_atom_site_fract_x
_atom_site_fract_y
_atom_site_fract_z
Nd1 Nd 0.082 0.000 0.153
Al1 Al 0.166 0.000 0.688
In1 In 0.123 0.000 0.433
Ir1 Ir 0.202 0.000 0.912
```

Most intense lines, 10 to 90 degrees two-theta, sorted by position:
2θ = 20.0°, I 39, hkl 2 0 1; 2θ = 28.8°, I 100, hkl 1 1 0; 2θ = 34.9°, I 47, hkl 4 0 -1; 2θ = 36.7°, I 31, hkl 1 1 -3; 2θ = 38.3°, I 56, hkl 3 1 0; 2θ = 38.5°, I 34, hkl 2 0 4; 2θ = 39.8°, I 62, hkl 4 0 -3; 2θ = 42.3°, I 85, hkl 1 1 -4; 2θ = 43.0°, I 33, hkl 3 1 2; 2θ = 63.8°, I 31, hkl 5 1 -5

---

7.
Diffraction record for GdNpCl6. The powder diffractogram is theoretical, not measured: it uses a PBE-relaxed structure and Cu Kα (weighted mean of Kα1 and Kα2).
No peak broadening, texture or thermal motion is included.

Structure:
```
data_GdNpCl6
_chemical_formula_sum 'Gd2 Np2 Cl12'
_symmetry_space_group_name_H-M 'C 1 2 1'
_symmetry_Int_Tables_number 5
_cell_length_a 6.982
_cell_length_b 12.092
_cell_length_c 6.544
_cell_angle_alpha 90.00
_cell_angle_beta 110.98
_cell_angle_gamma 90.00
loop_
_symmetry_equiv_pos_as_xyz
'x,y,z'
'-x,y,-z'
'x+1/2,y+1/2,z'
'-x+1/2,y+1/2,-z'
loop_
_atom_site_label
_atom_site_type_symbol
_atom_site_fract_x
_atom_site_fract_y
_atom_site_fract_z
Gd1 Gd 0.000 0.000 0.000
Np1 Np 0.000 0.668 0.000
Cl1 Cl 0.225 0.837 0.248
Cl2 Cl 0.237 0.010 0.756
Cl3 Cl 0.245 0.655 0.756
```

Most intense lines, 10 to 90 degrees two-theta, sorted by position:
2θ = 14.5°, I 96, hkl 0 0 1; 2θ = 14.7°, I 29, hkl 0 2 0; 2θ = 15.4°, I 52, hkl 1 1 0; 2θ = 17.6°, I 36, hkl 1 1 -1; 2θ = 20.7°, I 23, hkl 0 2 1; 2θ = 26.0°, I 71, hkl 2 0 -1; 2θ = 32.2°, I 100, hkl 1 3 1; 2θ = 35.5°, I 37, hkl 1 3 -2; 2θ = 45.0°, I 37, hkl 0 6 0; 2θ = 47.5°, I 62, hkl 2 0 2

---

8.
Diffraction record for Tb2Al6Si4Ag. The powder diffractogram is theoretical, not measured: it uses a PBE-relaxed structure and Cu Kα (weighted mean of Kα1 and Kα2).
No peak broadening, texture or thermal motion is included.

Structure:
```
data_Tb2Al6Si4Ag
_chemical_formula_sum 'Tb6 Al18 Si12 Ag3'
_symmetry_space_group_name_H-M 'R -3 m'
_symmetry_Int_Tables_number 166
_symmetry_space_group_name_Hall '-R 3 2"'
_cell_length_a 4.2068
_cell_length_b 4.2068
_cell_length_c 50.5532
_cell_angle_alpha 90.00
_cell_angle_beta 90.00
_cell_angle_gamma 120.00
loop_
_atom_site_label
_atom_site_type_symbol
_atom_site_fract_x
_atom_site_fract_y
_atom_site_fract_z
Tb1 Tb 0.0000 0.0000 0.0655
Al1 Al 0.0000 0.0000 0.1833
Al2 Al 0.0000 0.0000 0.3145
Al3 Al 0.0000 0.0000 0.4477
Si1 Si 0.0000 0.0000 0.2341
Si2 Si 0.0000 0.0000 0.3647
Ag1 Ag 0.0000 0.0000 0.5000
```

Most intense lines, 10 to 90 degrees two-theta, sorted by position:
2θ = 15.8°, I 48, hkl 0 0 9; 2θ = 24.7°, I 31, hkl 0 1 2; 2θ = 26.0°, I 21, hkl 0 1 5; 2θ = 27.4°, I 100, hkl 1 0 7; 2θ = 28.3°, I 29, hkl 0 1 8; 2θ = 35.0°, I 25, hkl 0 1 14; 2θ = 37.7°, I 64, hkl 1 0 16; 2θ = 43.0°, I 70, hkl 1 1 0; 2θ = 48.4°, I 29, hkl 0 1 23; 2θ = 51.7°, I 21, hkl 0 2 7